[1]
For EuZnGe, DFT lattice parameters and positions (GGA-PBE) gives the simulated powder XRD pattern in this record (Cu Kα (weighted mean of Kα1 and Kα2)).
Peak positions follow from Bragg's law for the DFT cell and can differ from measured ones.

Unit cell a=4.3530 b=4.3530 c=8.5053 alpha=90.00 beta=90.00 gamma=120.00
Sites, in units of the cell vectors:
Eu 0.0000 0.0000 0.0000
Eu 0.0000 0.0000 0.5000
Zn 0.3333 0.6667 0.2500
Zn 0.6667 0.3333 0.7500
Ge 0.3333 0.6667 0.7500
Ge 0.6667 0.3333 0.2500

Principal peaks in the range 15 to 90 degrees two-theta, by angle:
2θ/deg, d [Å], intensity
23.60, 3.770, 12
31.72, 2.821, 100
41.49, 2.176, 42
42.51, 2.126, 13
53.15, 1.723, 23
60.91, 1.521, 26
69.59, 1.351, 20
71.04, 1.327, 10
75.69, 1.257, 7
85.76, 1.133, 6



[2]
For EuZn2Ge2, DFT lattice parameters and positions (GGA-PBE) gives the simulated powder XRD pattern in this record (Cu Kα (weighted mean of Kα1 and Kα2)).
Peak positions follow from Bragg's law for the DFT cell and can differ from measured ones.

Unit cell a=6.1755 b=6.1755 c=6.1755 alpha=138.82 beta=138.82 gamma=59.64
Sites, in units of the cell vectors:
Eu 0.0000 0.0000 0.0000
Zn 0.2500 0.7500 0.5000
Zn 0.7500 0.2500 0.5000
Ge 0.3816 0.3816 0.0000
Ge 0.6184 0.6184 0.0000

Principal peaks in the range 15 to 90 degrees two-theta, by angle:
2θ/deg, d [Å], intensity
29.08, 3.071, 20
32.45, 2.759, 70
33.64, 2.664, 100
41.59, 2.172, 58
47.30, 1.922, 31
53.72, 1.706, 33
60.27, 1.536, 19
64.78, 1.439, 24
70.82, 1.330, 22
85.10, 1.140, 14



[3]
For EuZnGe, DFT lattice parameters and positions (GGA-PBE) gives the simulated powder XRD pattern in this record (Cu Kα (weighted mean of Kα1 and Kα2)).
Peak positions follow from Bragg's law for the DFT cell and can differ from measured ones.

Unit cell a=4.5027 b=4.5027 c=7.6796 alpha=90.00 beta=90.00 gamma=120.00
Sites, in units of the cell vectors:
Eu 0.0000 0.0000 0.0000
Eu 0.0000 0.0000 0.5000
Zn 0.3333 0.6667 0.2748
Zn 0.6667 0.3333 0.7748
Ge 0.3333 0.6667 0.7171
Ge 0.6667 0.3333 0.2171

Principal peaks in the range 15 to 90 degrees two-theta, by angle:
2θ/deg, d [Å], intensity
22.80, 3.899, 15
32.73, 2.736, 100
40.05, 2.251, 53
47.35, 1.920, 8
52.65, 1.738, 26
63.70, 1.461, 20
68.15, 1.376, 23
72.75, 1.300, 9
78.68, 1.216, 6
86.45, 1.126, 6



[4]
For EuZn2Ge2, DFT lattice parameters and positions (GGA-PBE) gives the simulated powder XRD pattern in this record (Cu Kα (weighted mean of Kα1 and Kα2)).
Peak positions follow from Bragg's law for the DFT cell and can differ from measured ones.

Unit cell a=4.3493 b=4.3493 c=10.5933 alpha=90.00 beta=90.00 gamma=90.00
Sites, in units of the cell vectors:
Eu 0.2500 0.2500 0.2501
Eu 0.7500 0.7500 0.7499
Zn 0.2500 0.2500 0.6329
Zn 0.2500 0.7500 0.0000
Zn 0.7500 0.2500 0.0000
Zn 0.7500 0.7500 0.3671
Ge 0.2500 0.2500 0.8646
Ge 0.2500 0.7500 0.5000
Ge 0.7500 0.2500 0.5000
Ge 0.7500 0.7500 0.1354

Principal peaks in the range 15 to 90 degrees two-theta, by angle:
2θ/deg, d [Å], intensity
29.03, 3.075, 17
32.67, 2.741, 61
33.70, 2.660, 100
41.53, 2.175, 56
47.75, 1.905, 29
53.81, 1.704, 29
60.18, 1.538, 18
65.10, 1.433, 23
70.78, 1.331, 25
85.94, 1.131, 12



[5]
For EuZnGe, DFT lattice parameters and positions (GGA-PBE) gives the simulated powder XRD pattern in this record (Cu Kα (weighted mean of Kα1 and Kα2)).
Peak positions follow from Bragg's law for the DFT cell and can differ from measured ones.

Unit cell a=4.4372 b=4.4372 c=8.4855 alpha=90.00 beta=90.00 gamma=120.00
Sites, in units of the cell vectors:
Eu 0.0000 0.0000 0.2491
Eu 0.0000 0.0000 0.7509
Zn 0.3333 0.6667 0.0000
Zn 0.6667 0.3333 0.0000
Ge 0.3333 0.6667 0.5000
Ge 0.6667 0.3333 0.5000

Principal peaks in the range 15 to 90 degrees two-theta, by angle:
2θ/deg, d [Å], intensity
23.15, 3.843, 13
31.41, 2.848, 100
40.67, 2.219, 43
42.62, 2.121, 13
52.27, 1.750, 24
60.37, 1.533, 26
68.25, 1.374, 21
71.02, 1.327, 9
74.01, 1.281, 7
89.35, 1.097, 9



[6]
For EuZnGe, DFT lattice parameters and positions (GGA-PBE) gives the simulated powder XRD pattern in this record (Cu Kα (weighted mean of Kα1 and Kα2)).
Peak positions follow from Bragg's law for the DFT cell and can differ from measured ones.

Unit cell a=4.2811 b=4.2811 c=17.1274 alpha=90.00 beta=90.00 gamma=120.00
Sites, in units of the cell vectors:
Eu 0.0000 0.0000 0.0000
Eu 0.0000 0.0000 0.2500
Eu 0.0000 0.0000 0.5000
Eu 0.0000 0.0000 0.7500
Zn 0.3333 0.6667 0.1253
Zn 0.3333 0.6667 0.3747
Zn 0.6667 0.3333 0.6253
Zn 0.6667 0.3333 0.8747
Ge 0.3333 0.6667 0.6240
Ge 0.3333 0.6667 0.8760
Ge 0.6667 0.3333 0.1240
Ge 0.6667 0.3333 0.3760

Principal peaks in the range 15 to 90 degrees two-theta, by angle:
2θ/deg, d [Å], intensity
24.00, 3.708, 12
31.93, 2.803, 100
42.22, 2.141, 54
49.14, 1.854, 6
53.89, 1.701, 22
61.23, 1.514, 26
66.75, 1.401, 3
70.74, 1.332, 30
77.19, 1.236, 7
85.95, 1.131, 6



[7]
For EuZnGe, DFT lattice parameters and positions (GGA-PBE) gives the simulated powder XRD pattern in this record (Cu Kα (weighted mean of Kα1 and Kα2)).
Peak positions follow from Bragg's law for the DFT cell and can differ from measured ones.

Unit cell a=4.2956 b=4.2956 c=4.4634 alpha=90.00 beta=90.00 gamma=120.00
Sites, in units of the cell vectors:
Eu 0.0000 0.0000 0.0000
Zn 0.3333 0.6667 0.5000
Ge 0.6667 0.3333 0.5000

Principal peaks in the range 15 to 90 degrees two-theta, by angle:
2θ/deg, d [Å], intensity
23.92, 3.720, 12
31.30, 2.858, 100
40.42, 2.232, 15
42.07, 2.148, 39
53.36, 1.717, 22
59.76, 1.548, 27
67.84, 1.381, 11
70.18, 1.341, 19
76.88, 1.240, 6
83.14, 1.162, 6



[8]
For EuZnGe, DFT lattice parameters and positions (GGA-PBE) gives the simulated powder XRD pattern in this record (Cu Kα (weighted mean of Kα1 and Kα2)).
Peak positions follow from Bragg's law for the DFT cell and can differ from measured ones.

Unit cell a=6.1488 b=6.1488 c=6.1488 alpha=138.48 beta=104.12 gamma=90.42
Sites, in units of the cell vectors:
Eu 0.2496 0.2496 0.0000
Eu 0.7504 0.7504 0.0000
Zn 0.3326 0.0000 0.3326
Zn 0.6674 0.0000 0.6674
Ge 0.1679 0.5000 0.6679
Ge 0.8321 0.5000 0.3321

Principal peaks in the range 15 to 90 degrees two-theta, by angle:
2θ/deg, d [Å], intensity
23.55, 3.777, 12
31.42, 2.847, 100
41.40, 2.181, 41
41.70, 2.166, 13
52.88, 1.731, 23
60.21, 1.537, 27
69.29, 1.356, 20
69.72, 1.349, 10
75.54, 1.259, 5
84.45, 1.147, 6



[9]
For Eu3H, DFT lattice parameters and positions (GGA-PBE) gives the simulated powder XRD pattern in this record (Cu Kα (weighted mean of Kα1 and Kα2)).
Peak positions follow from Bragg's law for the DFT cell and can differ from measured ones.

Unit cell a=7.1955 b=7.1955 c=6.0649 alpha=90.00 beta=90.00 gamma=120.00
Sites, in units of the cell vectors:
Eu 0.1683 0.3367 0.2500
Eu 0.1683 0.8317 0.2500
Eu 0.3367 0.1683 0.7500
Eu 0.6633 0.8317 0.2500
Eu 0.8317 0.1683 0.7500
Eu 0.8317 0.6633 0.7500
H 0.3333 0.6667 0.7500
H 0.6667 0.3333 0.2500

Principal peaks in the range 15 to 90 degrees two-theta, by angle:
2θ/deg, d [Å], intensity
20.43, 4.346, 35
24.75, 3.598, 14
28.65, 3.116, 23
29.45, 3.032, 28
32.30, 2.771, 100
41.56, 2.173, 17
50.75, 1.799, 19
54.07, 1.696, 23
59.77, 1.547, 23
61.45, 1.509, 16



[10]
For KEuH2S2O9, DFT lattice parameters and positions (GGA-PBE) gives the simulated powder XRD pattern in this record (Cu Kα (weighted mean of Kα1 and Kα2)).
Peak positions follow from Bragg's law for the DFT cell and can differ from measured ones.

Unit cell a=10.4950 b=8.7031 c=10.7747 alpha=90.00 beta=119.12 gamma=90.00
Sites, in units of the cell vectors:
K 0.2121 0.1819 0.1915
K 0.2121 0.3181 0.6915
K 0.7879 0.6819 0.3085
K 0.7879 0.8181 0.8085
Eu 0.2573 0.6472 0.0338
Eu 0.2573 0.8528 0.5338
Eu 0.7427 0.1472 0.4662
Eu 0.7427 0.3528 0.9662
H 0.2856 0.5270 0.4545
H 0.2856 0.9730 0.9545
H 0.4101 0.5270 0.6115
H 0.4101 0.9730 0.1115
H 0.5899 0.0270 0.8885
H 0.5899 0.4730 0.3885
H 0.7144 0.0270 0.0455
H 0.7144 0.4730 0.5455
S 0.0514 0.6333 0.1793
S 0.0514 0.8667 0.6793
S 0.4914 0.6917 0.8938
S 0.4914 0.8083 0.3938
S 0.5086 0.1917 0.6062
S 0.5086 0.3083 0.1062
S 0.9486 0.1333 0.3207
S 0.9486 0.3667 0.8207
O 0.0553 0.7459 0.0757
O 0.0553 0.7541 0.5757
O 0.0741 0.7110 0.3111
O 0.0741 0.7890 0.8111
O 0.0947 0.0573 0.3860
O 0.0947 0.4427 0.8860
O 0.1700 0.5190 0.2102
O 0.1700 0.9810 0.7102
O 0.3108 0.5649 0.5494
O 0.3108 0.9351 0.0494
O 0.3532 0.6104 0.8648
O 0.3532 0.8896 0.3648
O 0.4067 0.0825 0.6204
O 0.4067 0.4175 0.1204
O 0.4423 0.2387 0.9637
O 0.4423 0.2613 0.4637
O 0.4552 0.6866 0.2825
O 0.4552 0.8134 0.7825
O 0.5448 0.1866 0.2175
O 0.5448 0.3134 0.7175
O 0.5577 0.7387 0.5363
O 0.5577 0.7613 0.0363
O 0.5933 0.5825 0.8796
O 0.5933 0.9175 0.3796
O 0.6468 0.1104 0.6352
O 0.6468 0.3896 0.1352
O 0.6892 0.0649 0.9506
O 0.6892 0.4351 0.4506
O 0.8300 0.0190 0.2898
O 0.8300 0.4810 0.7898
O 0.9053 0.5573 0.1140
O 0.9053 0.9427 0.6140
O 0.9259 0.2110 0.1889
O 0.9259 0.2890 0.6889
O 0.9447 0.2459 0.4243
O 0.9447 0.2541 0.9243

Principal peaks in the range 15 to 90 degrees two-theta, by angle:
2θ/deg, d [Å], intensity
19.37, 4.582, 53
26.33, 3.385, 97
27.16, 3.283, 65
27.44, 3.250, 31
27.89, 3.198, 100
32.31, 2.771, 37
33.24, 2.695, 55
39.32, 2.292, 26
40.36, 2.235, 31
47.72, 1.906, 26